(1)
Pm5TmIn6: simulated powder X-ray diffraction pattern (λ = 1.5418 Å (Cu Kα)), based on a structure optimized by DFT (PBE).

Atomic structure:
```
data_Pm5TmIn6
_space_group_name_H-M_alt 'I m m m'
_space_group_IT_number 71
_space_group_name_Hall '-I 2 2'
_cell_length_a 5.0651
_cell_length_b 8.7041
_cell_length_c 15.1730
_cell_angle_alpha 90.00
_cell_angle_beta 90.00
_cell_angle_gamma 90.00
loop_
_atom_site_label
_atom_site_type_symbol
_atom_site_fract_x
_atom_site_fract_y
_atom_site_fract_z
_atom_site_occupancy
Pm1 Pm 0.0000 0.0000 0.0000 1
Pm2 Pm 0.0000 0.0000 0.3323 1
Pm3 Pm 0.0000 0.5000 0.3345 1
Tm1 Tm 0.0000 0.5000 0.0000 1
In1 In 0.0000 0.2450 0.5000 1
In2 In 0.0000 0.2526 0.1644 1
```

Most intense lines, 10° ≤ 2θ ≤ 90°, most intense first:
Position (°2θ)  I (rel.)
32.4  100.0
35.5  39.1
61.8  30.6
55.7  21.0
51.0  13.7
41.5  12.6
67.8  11.5
70.0  10.4
84.1  6.5
85.9  6.2

***

(2)
Cs4K2TlAs2: simulated powder X-ray diffraction pattern (λ = 1.5418 Å (Cu Kα)), based on a structure optimized by DFT (PBE).

Atomic structure:
```
data_Cs4K2TlAs2
_space_group_name_H-M_alt 'I m m m'
_space_group_IT_number 71
_space_group_name_Hall '-I 2 2'
_cell_length_a 5.4009
_cell_length_b 11.2468
_cell_length_c 15.2969
_cell_angle_alpha 90.00
_cell_angle_beta 90.00
_cell_angle_gamma 90.00
loop_
_atom_site_label
_atom_site_type_symbol
_atom_site_fract_x
_atom_site_fract_y
_atom_site_fract_z
_atom_site_occupancy
Cs1 Cs 0.0000 0.2010 0.1411 1
K1 K 0.0000 0.0000 0.3514 1
Tl1 Tl 0.0000 0.5000 0.5000 1
As1 As 0.0000 0.5000 0.2838 1
```

Most intense lines, 10° ≤ 2θ ≤ 90°, most intense first:
Position (°2θ)  I (rel.)
23.6  100.0
29.7  48.9
29.0  46.2
28.2  40.8
24.0  37.5
33.2  31.4
50.0  30.5
29.6  28.4
44.1  26.7
28.8  24.3

***

(3)
Tb2NdY6: simulated powder X-ray diffraction pattern (λ = 1.5418 Å (Cu Kα)), based on a structure optimized by DFT (PBE).

Atomic structure:
```
data_Tb2NdY6
_space_group_name_H-M_alt 'P 42/m n m'
_space_group_IT_number 136
_space_group_name_Hall '-P 4n 2n'
_cell_length_a 10.7420
_cell_length_b 10.7420
_cell_length_c 5.0663
_cell_angle_alpha 90.00
_cell_angle_beta 90.00
_cell_angle_gamma 90.00
loop_
_atom_site_label
_atom_site_type_symbol
_atom_site_fract_x
_atom_site_fract_y
_atom_site_fract_z
_atom_site_occupancy
Tb1 Tb 0.1669 0.1669 0.0000 1
Nd1 Nd 0.0000 0.0000 0.5000 1
Y1 Y 0.0000 0.3333 0.5000 1
Y2 Y 0.1673 0.8327 0.0000 1
```

Most intense lines, 10° ≤ 2θ ≤ 90°, most intense first:
Position (°2θ)  I (rel.)
30.6  100.0
35.4  50.2
60.6  41.4
51.0  35.2
83.1  16.7
85.8  15.6
63.6  11.9
75.0  5.5
18.5  3.2
11.7  3.2

***

(4)
AlAg2S3: simulated powder X-ray diffraction pattern (λ = 1.5418 Å (Cu Kα)), based on a structure optimized by DFT (PBE).

Atomic structure:
```
data_AlAg2S3
_space_group_name_H-M_alt 'I m m 2'
_space_group_IT_number 44
_cell_length_a 3.7445
_cell_length_b 11.8419
_cell_length_c 6.0106
_cell_angle_alpha 90.00
_cell_angle_beta 90.00
_cell_angle_gamma 90.00
loop_
_space_group_symop_operation_xyz
'x,y,z'
'-x,-y,z'
'-x,y,z'
'x,-y,z'
'x+1/2,y+1/2,z+1/2'
'-x+1/2,-y+1/2,z+1/2'
'-x+1/2,y+1/2,z+1/2'
'x+1/2,-y+1/2,z+1/2'
loop_
_atom_site_label
_atom_site_type_symbol
_atom_site_fract_x
_atom_site_fract_y
_atom_site_fract_z
_atom_site_occupancy
Al1 Al 0.0000 0.0000 0.0000 1
Ag1 Ag 0.0000 0.3378 0.0200 1
S1 S 0.0000 0.1581 0.7902 1
S2 S 0.0000 0.5000 0.7240 1
```

Most intense lines, 10° ≤ 2θ ≤ 90°, most intense first:
Position (°2θ)  I (rel.)
27.0  100.0
28.1  91.5
45.0  75.6
56.5  25.1
54.7  25.0
16.5  24.3
46.0  23.2
33.0  18.8
51.7  17.1
51.1  16.5

***

(5)
Pm6PrSn3: simulated powder X-ray diffraction pattern (λ = 1.5418 Å (Cu Kα)), based on a structure optimized by DFT (PBE).

Atomic structure:
```
data_Pm6PrSn3
_space_group_name_H-M_alt 'C m c 21'
_space_group_IT_number 36
_cell_length_a 10.9832
_cell_length_b 15.3330
_cell_length_c 7.8609
_cell_angle_alpha 90.00
_cell_angle_beta 90.00
_cell_angle_gamma 90.00
loop_
_space_group_symop_operation_xyz
'x,y,z'
'-x,-y,z+1/2'
'-x,y,z'
'x,-y,z+1/2'
'x+1/2,y+1/2,z'
'-x+1/2,-y+1/2,z+1/2'
'-x+1/2,y+1/2,z'
'x+1/2,-y+1/2,z+1/2'
loop_
_atom_site_label
_atom_site_type_symbol
_atom_site_fract_x
_atom_site_fract_y
_atom_site_fract_z
_atom_site_occupancy
Pm1 Pm 0.0000 0.0483 0.0000 1
Pm2 Pm 0.0000 0.2865 0.8429 1
Pm3 Pm 0.2100 0.4636 0.8300 1
Pm4 Pm 0.2395 0.3045 0.5110 1
Pr1 Pr 0.0000 0.2142 0.3213 1
Sn1 Sn 0.0000 0.4263 0.5360 1
Sn2 Sn 0.1439 0.1222 0.6549 1
```

Most intense lines, 10° ≤ 2θ ≤ 90°, most intense first:
Position (°2θ)  I (rel.)
30.3  100.0
30.6  96.2
32.6  36.2
36.2  32.0
60.8  27.7
37.0  26.9
36.6  26.8
50.8  16.1
40.1  14.4
34.0  13.6

***

(6)
InTeO3F: simulated powder X-ray diffraction pattern (λ = 1.5418 Å (Cu Kα)), based on a structure optimized by DFT (PBE).

Atomic structure:
```
data_InTeO3F
_space_group_name_H-M_alt 'P 1 21/c 1'
_space_group_IT_number 14
_cell_length_a 8.3314
_cell_length_b 5.5288
_cell_length_c 8.0463
_cell_angle_alpha 90.00
_cell_angle_beta 93.13
_cell_angle_gamma 90.00
loop_
_space_group_symop_operation_xyz
'x,y,z'
'-x,-y,-z'
'-x,y+1/2,-z+1/2'
'x,-y+1/2,z+1/2'
loop_
_atom_site_label
_atom_site_type_symbol
_atom_site_fract_x
_atom_site_fract_y
_atom_site_fract_z
_atom_site_occupancy
In1 In 0.1437 0.2178 0.3241 1
Te1 Te 0.2914 0.6950 0.1572 1
O1 O 0.0942 0.6159 0.6805 1
O2 O 0.1634 0.0876 0.5760 1
O3 O 0.2786 0.5466 0.3708 1
F1 F 0.3794 0.0305 0.3040 1
```

Most intense lines, 10° ≤ 2θ ≤ 90°, most intense first:
Position (°2θ)  I (rel.)
27.4  100.0
26.8  73.2
21.4  55.0
34.3  49.2
22.1  40.9
48.2  33.5
10.6  25.0
46.0  24.2
32.4  21.3
31.8  20.7

***

(7)
Ce5GaIr: simulated powder X-ray diffraction pattern (λ = 1.5418 Å (Cu Kα)), based on a structure optimized by DFT (PBE).

Atomic structure:
```
data_Ce5GaIr
_space_group_name_H-M_alt 'C 1 2/c 1'
_space_group_IT_number 15
_cell_length_a 10.2389
_cell_length_b 6.8228
_cell_length_c 10.8559
_cell_angle_alpha 90.00
_cell_angle_beta 111.47
_cell_angle_gamma 90.00
loop_
_space_group_symop_operation_xyz
'x,y,z'
'-x,-y,-z'
'-x,y,-z+1/2'
'x,-y,z+1/2'
'x+1/2,y+1/2,z'
'-x+1/2,-y+1/2,-z'
'-x+1/2,y+1/2,-z+1/2'
'x+1/2,-y+1/2,z+1/2'
loop_
_atom_site_label
_atom_site_type_symbol
_atom_site_fract_x
_atom_site_fract_y
_atom_site_fract_z
_atom_site_occupancy
Ce1 Ce 0.0000 0.0564 0.2500 1
Ce2 Ce 0.1526 0.3646 0.0615 1
Ce3 Ce 0.2202 0.2267 0.6590 1
Ga1 Ga 0.0000 0.4576 0.7500 1
Ir1 Ir 0.0000 0.0000 0.0000 1
```

Most intense lines, 10° ≤ 2θ ≤ 90°, most intense first:
Position (°2θ)  I (rel.)
32.3  100.0
31.6  67.7
33.5  67.3
31.1  47.1
34.0  38.4
20.4  34.5
35.3  32.3
16.0  31.6
44.6  30.2
37.5  26.8

***

(8)
Li12Zn2In: simulated powder X-ray diffraction pattern (λ = 1.5418 Å (Cu Kα)), based on a structure optimized by DFT (PBE).

Atomic structure:
```
data_Li12Zn2In
_space_group_name_H-M_alt 'C m m e'
_space_group_IT_number 67
_space_group_name_Hall '-C 2a 2'
_cell_length_a 5.5236
_cell_length_b 9.8707
_cell_length_c 19.8705
_cell_angle_alpha 90.00
_cell_angle_beta 90.00
_cell_angle_gamma 90.00
loop_
_atom_site_label
_atom_site_type_symbol
_atom_site_fract_x
_atom_site_fract_y
_atom_site_fract_z
_atom_site_occupancy
Li1 Li 0.0000 0.0364 0.0734 1
Li2 Li 0.0000 0.1200 0.5034 1
Li3 Li 0.2433 0.2500 0.3887 1
Li4 Li 0.2451 0.2500 0.8498 1
Li5 Li 0.2500 0.0000 0.2215 1
Li6 Li 0.2500 0.0000 0.3539 1
Zn1 Zn 0.0000 0.2500 0.2701 1
Zn2 Zn 0.0000 0.2500 0.7253 1
In1 In 0.0000 0.2500 0.9716 1
```

Most intense lines, 10° ≤ 2θ ≤ 90°, most intense first:
Position (°2θ)  I (rel.)
18.0  100.0
13.4  69.2
17.9  63.1
37.3  60.4
25.4  52.8
22.5  42.3
41.7  38.7
40.9  29.3
36.5  29.0
39.8  24.9

***

(9)
Rb2AlPd: simulated powder X-ray diffraction pattern (λ = 1.5418 Å (Cu Kα)), based on a structure optimized by DFT (PBE).

Atomic structure:
```
data_Rb2AlPd
_space_group_name_H-M_alt 'I -4 2 d'
_space_group_IT_number 122
_space_group_name_Hall 'I -4 2bw'
_cell_length_a 12.9898
_cell_length_b 12.9898
_cell_length_c 4.7941
_cell_angle_alpha 90.00
_cell_angle_beta 90.00
_cell_angle_gamma 90.00
loop_
_atom_site_label
_atom_site_type_symbol
_atom_site_fract_x
_atom_site_fract_y
_atom_site_fract_z
_atom_site_occupancy
Rb1 Rb 0.0607 0.7500 0.1250 1
Al1 Al 0.0000 0.0000 0.5000 1
Pd1 Pd 0.0000 0.0000 0.0000 1
```

Most intense lines, 10° ≤ 2θ ≤ 90°, most intense first:
Position (°2θ)  I (rel.)
19.7  100.0
13.6  80.5
34.1  70.4
30.8  66.1
27.5  60.4
21.6  52.7
39.5  29.2
24.1  27.2
43.7  26.8
52.4  23.7

***

(10)
TlMo2Cl8: simulated powder X-ray diffraction pattern (λ = 1.5418 Å (Cu Kα)), based on a structure optimized by DFT (PBE).

Atomic structure:
```
data_TlMo2Cl8
_space_group_name_H-M_alt 'P -1'
_space_group_IT_number 2
_cell_length_a 4.9611
_cell_length_b 8.6240
_cell_length_c 9.3251
_cell_angle_alpha 65.79
_cell_angle_beta 74.91
_cell_angle_gamma 86.77
loop_
_space_group_symop_operation_xyz
'x,y,z'
'-x,-y,-z'
loop_
_atom_site_label
_atom_site_type_symbol
_atom_site_fract_x
_atom_site_fract_y
_atom_site_fract_z
_atom_site_occupancy
Tl1 Tl 0.0000 0.0000 0.0000 1
Mo1 Mo 0.2872 0.1993 0.3846 1
Cl1 Cl 0.1675 0.2542 0.6183 1
Cl2 Cl 0.2219 0.8647 0.5831 1
Cl3 Cl 0.3452 0.4788 0.2118 1
Cl4 Cl 0.4062 0.1099 0.1646 1
```

Most intense lines, 10° ≤ 2θ ≤ 90°, most intense first:
Position (°2θ)  I (rel.)
11.3  100.0
20.2  54.8
29.0  49.5
21.2  48.7
19.9  48.4
18.6  32.6
36.3  30.9
23.9  22.5
40.2  21.2
33.2  19.5

***

(11)
LaCoNi3: simulated powder X-ray diffraction pattern (λ = 1.5418 Å (Cu Kα)), based on a structure optimized by DFT (PBE).

Atomic structure:
```
data_LaCoNi3
_space_group_name_H-M_alt 'P -3 m 1'
_space_group_IT_number 164
_space_group_name_Hall '-P 3 2"'
_cell_length_a 5.8669
_cell_length_b 5.8669
_cell_length_c 5.2944
_cell_angle_alpha 90.00
_cell_angle_beta 90.00
_cell_angle_gamma 120.00
loop_
_atom_site_label
_atom_site_type_symbol
_atom_site_fract_x
_atom_site_fract_y
_atom_site_fract_z
_atom_site_occupancy
La1 La 0.3333 0.6667 0.2496 1
Co1 Co 0.0000 0.0000 0.0000 1
Co2 Co 0.0000 0.0000 0.5000 1
Ni1 Ni 0.1956 0.3911 0.7492 1
```

Most intense lines, 10° ≤ 2θ ≤ 90°, most intense first:
Position (°2θ)  I (rel.)
39.3  100.0
49.7  33.6
30.5  33.3
38.3  28.9
33.9  26.4
64.3  22.2
50.6  17.3
63.4  17.3
76.6  9.5
77.2  8.9

***

(12)
Li6Pb7: simulated powder X-ray diffraction pattern (λ = 1.5418 Å (Cu Kα)), based on a structure optimized by DFT (PBE).

Atomic structure:
```
data_Li6Pb7
_space_group_name_H-M_alt 'R -3 m'
_space_group_IT_number 166
_space_group_name_Hall '-R 3 2"'
_cell_length_a 6.3232
_cell_length_b 6.3232
_cell_length_c 32.1432
_cell_angle_alpha 90.00
_cell_angle_beta 90.00
_cell_angle_gamma 120.00
loop_
_atom_site_label
_atom_site_type_symbol
_atom_site_fract_x
_atom_site_fract_y
_atom_site_fract_z
_atom_site_occupancy
Li1 Li 0.0000 0.0000 0.0502 1
Li2 Li 0.0000 0.0000 0.1708 1
Li3 Li 0.0000 0.0000 0.3336 1
Pb1 Pb 0.0000 0.0000 0.5000 1
Pb2 Pb 0.9997 0.4998 0.0785 1
```

Most intense lines, 10° ≤ 2θ ≤ 90°, most intense first:
Position (°2θ)  I (rel.)
16.5  100.0
16.4  96.7
32.9  95.1
38.3  77.6
35.6  66.4
33.2  45.8
33.5  36.0
69.0  28.0
19.6  27.4
61.1  27.3

***

Please write out number 10 again, unchanged.
TlMo2Cl8: simulated powder X-ray diffraction pattern (λ = 1.5418 Å (Cu Kα)), based on a structure optimized by DFT (PBE).

Atomic structure:
```
data_TlMo2Cl8
_space_group_name_H-M_alt 'P -1'
_space_group_IT_number 2
_cell_length_a 4.9611
_cell_length_b 8.6240
_cell_length_c 9.3251
_cell_angle_alpha 65.79
_cell_angle_beta 74.91
_cell_angle_gamma 86.77
loop_
_space_group_symop_operation_xyz
'x,y,z'
'-x,-y,-z'
loop_
_atom_site_label
_atom_site_type_symbol
_atom_site_fract_x
_atom_site_fract_y
_atom_site_fract_z
_atom_site_occupancy
Tl1 Tl 0.0000 0.0000 0.0000 1
Mo1 Mo 0.2872 0.1993 0.3846 1
Cl1 Cl 0.1675 0.2542 0.6183 1
Cl2 Cl 0.2219 0.8647 0.5831 1
Cl3 Cl 0.3452 0.4788 0.2118 1
Cl4 Cl 0.4062 0.1099 0.1646 1
```

Most intense lines, 10° ≤ 2θ ≤ 90°, most intense first:
Position (°2θ)  I (rel.)
11.3  100.0
20.2  54.8
29.0  49.5
21.2  48.7
19.9  48.4
18.6  32.6
36.3  30.9
23.9  22.5
40.2  21.2
33.2  19.5

***

Please write out number 7 again, unchanged.
Ce5GaIr: simulated powder X-ray diffraction pattern (λ = 1.5418 Å (Cu Kα)), based on a structure optimized by DFT (PBE).

Atomic structure:
```
data_Ce5GaIr
_space_group_name_H-M_alt 'C 1 2/c 1'
_space_group_IT_number 15
_cell_length_a 10.2389
_cell_length_b 6.8228
_cell_length_c 10.8559
_cell_angle_alpha 90.00
_cell_angle_beta 111.47
_cell_angle_gamma 90.00
loop_
_space_group_symop_operation_xyz
'x,y,z'
'-x,-y,-z'
'-x,y,-z+1/2'
'x,-y,z+1/2'
'x+1/2,y+1/2,z'
'-x+1/2,-y+1/2,-z'
'-x+1/2,y+1/2,-z+1/2'
'x+1/2,-y+1/2,z+1/2'
loop_
_atom_site_label
_atom_site_type_symbol
_atom_site_fract_x
_atom_site_fract_y
_atom_site_fract_z
_atom_site_occupancy
Ce1 Ce 0.0000 0.0564 0.2500 1
Ce2 Ce 0.1526 0.3646 0.0615 1
Ce3 Ce 0.2202 0.2267 0.6590 1
Ga1 Ga 0.0000 0.4576 0.7500 1
Ir1 Ir 0.0000 0.0000 0.0000 1
```

Most intense lines, 10° ≤ 2θ ≤ 90°, most intense first:
Position (°2θ)  I (rel.)
32.3  100.0
31.6  67.7
33.5  67.3
31.1  47.1
34.0  38.4
20.4  34.5
35.3  32.3
16.0  31.6
44.6  30.2
37.5  26.8